(1)
For Tm6Co2Au, a crystal structure in Alexandria, relaxed with PBE gives the computed PXRD pattern in this record (Cu Kα X-rays).

Peak list (10 most intense, 2θ from 5° to 70°, in order of rising 2θ)
| d (Å) | intensity |
| --- | --- |
| 3.053 | 15 |
| 2.975 | 14 |
| 2.900 | 27 |
| 2.713 | 100 |
| 2.540 | 29 |
| 2.525 | 43 |
| 2.494 | 21 |
| 2.424 | 14 |
| 2.286 | 19 |
| 1.501 | 22 |

Crystal structure
a b c (Å): 8.148 8.148 8.148
angles (deg): 111.74 109.74 106.98
Positions (direct):
Tm: 0.022 0.226 0.796
Tm: 0.185 0.289 0.475
Tm: 0.185 0.711 0.896
Tm: 0.319 0.020 0.701
Tm: 0.319 0.618 0.299
Tm: 0.430 0.226 0.204
Tm: 0.570 0.774 0.796
Tm: 0.681 0.382 0.701
Tm: 0.681 0.980 0.299
Tm: 0.815 0.289 0.104
Tm: 0.815 0.711 0.525
Tm: 0.978 0.774 0.204
Co: 0.115 0.615 0.500
Co: 0.376 0.000 0.376
Co: 0.624 0.000 0.624
Co: 0.885 0.385 0.500
Au: 0.000 0.000 0.000
Au: 0.500 0.500 0.000

***

(2)
For Tm12Co6Au, a crystal structure in Alexandria, relaxed with PBE gives the computed PXRD pattern in this record (Cu Kα X-rays).

Peak list (10 most intense, 2θ from 5° to 70°, in order of rising 2θ)
| d (Å) | intensity |
| --- | --- |
| 3.337 | 6 |
| 2.985 | 45 |
| 2.725 | 60 |
| 2.523 | 100 |
| 2.360 | 24 |
| 2.225 | 8 |
| 1.851 | 22 |
| 1.619 | 36 |
| 1.573 | 11 |
| 1.531 | 40 |

Crystal structure
a b c (Å): 8.175 8.175 8.175
angles (deg): 109.47 109.47 109.47
Positions (direct):
Tm: 0.106 0.299 0.806
Tm: 0.194 0.493 0.299
Tm: 0.194 0.894 0.701
Tm: 0.299 0.194 0.493
Tm: 0.299 0.806 0.106
Tm: 0.493 0.299 0.194
Tm: 0.507 0.701 0.806
Tm: 0.701 0.194 0.894
Tm: 0.701 0.806 0.507
Tm: 0.806 0.106 0.299
Tm: 0.806 0.507 0.701
Tm: 0.894 0.701 0.194
Co: 0.115 0.500 0.615
Co: 0.385 0.885 0.500
Co: 0.500 0.385 0.885
Co: 0.500 0.615 0.115
Co: 0.615 0.115 0.500
Co: 0.885 0.500 0.385
Au: 0.000 0.000 0.000

***

(3)
For Tm12Co2Au5, a crystal structure in Alexandria, relaxed with PBE gives the computed PXRD pattern in this record (Cu Kα X-rays).

Peak list (10 most intense, 2θ from 5° to 70°, in order of rising 2θ)
| d (Å) | intensity |
| --- | --- |
| 4.197 | 67 |
| 3.851 | 75 |
| 2.804 | 63 |
| 2.795 | 77 |
| 2.651 | 100 |
| 2.560 | 79 |
| 2.498 | 54 |
| 2.479 | 48 |
| 2.263 | 65 |
| 1.832 | 44 |

Crystal structure
a b c (Å): 8.778 8.778 9.054
angles (deg): 104.21 104.21 49.33
Positions (direct):
Tm: 0.001 0.001 0.235
Tm: 0.070 0.597 0.906
Tm: 0.106 0.604 0.434
Tm: 0.396 0.894 0.566
Tm: 0.403 0.930 0.094
Tm: 0.488 0.488 0.179
Tm: 0.512 0.512 0.821
Tm: 0.597 0.070 0.906
Tm: 0.604 0.106 0.434
Tm: 0.894 0.396 0.566
Tm: 0.930 0.403 0.094
Tm: 0.999 0.999 0.765
Co: 0.213 0.787 0.000
Co: 0.787 0.213 0.000
Au: 0.191 0.191 0.837
Au: 0.205 0.205 0.365
Au: 0.500 0.500 0.500
Au: 0.795 0.795 0.635
Au: 0.809 0.809 0.163

***

(4)
For VCo4Au, a crystal structure in Alexandria, relaxed with PBE gives the computed PXRD pattern in this record (Cu Kα X-rays).

Peak list (8 most intense, 2θ from 5° to 70°, in order of rising 2θ)
| d (Å) | intensity |
| --- | --- |
| 3.868 | 25 |
| 3.350 | 22 |
| 2.369 | 49 |
| 2.020 | 100 |
| 1.934 | 24 |
| 1.537 | 6 |
| 1.498 | 9 |
| 1.368 | 17 |

Crystal structure
a b c (Å): 4.737 4.737 4.737
angles (deg): 60.00 60.00 60.00
Positions (direct):
V: 0.000 0.000 0.000
Co: 0.375 0.375 0.375
Co: 0.375 0.375 0.875
Co: 0.375 0.875 0.375
Co: 0.875 0.375 0.375
Au: 0.750 0.750 0.750